# 1
This entry pairs a crystal structure of AcSm4 with its computed powder X-ray diffraction pattern. Radiation: Cu Kα X-rays. Structure: the GGA-PBE geometry in Alexandria.

Structural model:
abc: 3.724 5.191 18.561
angles: 90.00 90.00 90.00
Fractional positions:
Ac  0.000  0.000  0.000
Ac  0.500  0.500  0.500
Sm  0.000  0.000  0.201
Sm  0.000  0.000  0.395
Sm  0.000  0.000  0.605
Sm  0.000  0.000  0.799
Sm  0.500  0.500  0.105
Sm  0.500  0.500  0.299
Sm  0.500  0.500  0.701
Sm  0.500  0.500  0.895

The 10 most intense peaks (2θ from 5° to 70°), sorted by position:
index  two_theta  d/Å  intensity
1 1 0  29.6  3.023  100
1 0 5  34.1  2.629  34
0 2 0  34.6  2.595  17
2 0 0  48.9  1.862  6
1 2 5  49.3  1.847  24
2 1 5  58.2  1.585  15
1 1 10  58.3  1.582  14
1 3 0  58.9  1.569  14
2 2 0  61.3  1.513  6
0 2 10  61.4  1.510  6

***

# 2
This entry pairs a crystal structure of Ac3Sm5 with its computed powder X-ray diffraction pattern. Radiation: Cu Kα X-rays. Structure: the GGA-PBE geometry in Alexandria.

Structural model:
abc: 3.789 3.789 21.100
angles: 90.00 90.00 90.00
Fractional positions:
Ac  0.000  0.000  0.000
Ac  0.500  0.500  0.140
Ac  0.500  0.500  0.860
Sm  0.000  0.000  0.268
Sm  0.000  0.000  0.500
Sm  0.000  0.000  0.732
Sm  0.500  0.500  0.384
Sm  0.500  0.500  0.616

The 10 most intense peaks (2θ from 5° to 70°), sorted by position:
index  two_theta  d/Å  intensity
1 0 3  26.7  3.336  10
1 0 4  29.0  3.077  100
1 1 0  33.4  2.679  38
0 0 8  34.0  2.637  12
1 1 7  45.3  2.002  6
2 0 0  48.0  1.894  14
1 1 8  48.4  1.879  18
2 1 4  57.1  1.613  31
1 0 12  57.8  1.595  6
2 0 8  60.1  1.539  10